The following is a calculated powder XRD pattern of PrBiN3. It was derived from a structure optimized by DFT (PBE), using Cu Kα, 1.54184 Å.
Peak positions follow from Bragg's law for the DFT cell and can differ from measured ones.

Structure:
abc: 8.0328 8.0328 3.3605
angles: 90.00 90.00 131.15
Element x y z (fractional)
Pr 0.1741 0.8259 0.0000
Pr 0.8259 0.1741 0.0000
Bi 0.3724 0.6276 0.5000
Bi 0.6276 0.3724 0.5000
N 0.0000 0.5000 0.5000
N 0.1333 0.2158 0.5000
N 0.2158 0.1333 0.5000
N 0.5000 0.0000 0.5000
N 0.7842 0.8667 0.5000
N 0.8667 0.7842 0.5000

The 10 most intense peaks (2θ = 15–90°), in order of falling intensity:
2θ/deg  I_rel
35.13  100
30.43  61
26.84  55
36.55  37
33.47  34
24.34  34
52.96  27
49.70  22
64.44  19
45.72  17

The following is a calculated powder XRD pattern of Ta4SiBiN2. It was derived from a structure optimized by DFT (PBE), using Cu Kα, 1.54184 Å.
Peak positions follow from Bragg's law for the DFT cell and can differ from measured ones.

Structure:
abc: 3.2665 3.2665 13.1181
angles: 90.00 90.00 120.00
Element x y z (fractional)
Ta 0.0000 0.0000 0.1393
Ta 0.0000 0.0000 0.8607
Ta 0.6667 0.3333 0.3108
Ta 0.6667 0.3333 0.6892
Si 0.6667 0.3333 0.0000
Bi 0.0000 0.0000 0.5000
N 0.3333 0.6667 0.2302
N 0.3333 0.6667 0.7698

The 10 most intense peaks (2θ = 15–90°), in order of falling intensity:
2θ/deg  I_rel
37.88  100
31.63  31
56.33  26
34.53  23
65.83  17
69.90  17
34.18  15
67.56  13
72.20  11
47.25  10

The following is a calculated powder XRD pattern of Ta4Bi3W2N3. It was derived from a structure optimized by DFT (PBE), using Cu Kα, 1.54184 Å.
Peak positions follow from Bragg's law for the DFT cell and can differ from measured ones.

Structure:
abc: 5.9133 5.9133 14.7522
angles: 106.21 106.21 57.65
Element x y z (fractional)
Ta 0.0056 0.2240 0.0671
Ta 0.1649 0.3089 0.4318
Ta 0.2240 0.0056 0.5671
Ta 0.3089 0.1649 0.9318
Ta 0.6911 0.8351 0.0682
Ta 0.7760 0.9944 0.4329
Ta 0.8351 0.6911 0.5682
Ta 0.9944 0.7760 0.9329
Bi 0.0868 0.9132 0.2500
Bi 0.2446 0.4180 0.7402
Bi 0.4180 0.2446 0.2402
Bi 0.5820 0.7554 0.7598
Bi 0.7554 0.5820 0.2598
Bi 0.9132 0.0868 0.7500
W 0.4136 0.5478 0.0819
W 0.4522 0.5864 0.4181
W 0.5478 0.4136 0.5819
W 0.5864 0.4522 0.9181
N 0.0000 0.5000 0.0000
N 0.1618 0.6747 0.5046
N 0.3253 0.8382 0.9954
N 0.5000 0.0000 0.5000
N 0.6747 0.1618 0.0046
N 0.8382 0.3253 0.4954

The 10 most intense peaks (2θ = 15–90°), in order of falling intensity:
2θ/deg  I_rel
34.77  100
36.96  96
37.33  84
38.63  48
30.34  47
55.21  39
68.85  25
31.37  22
53.26  16
67.79  15

The following is a calculated powder XRD pattern of Zr4Ta2Bi3N3. It was derived from a structure optimized by DFT (PBE), using Cu Kα, 1.54184 Å.
Peak positions follow from Bragg's law for the DFT cell and can differ from measured ones.

Structure:
abc: 6.0263 6.0263 13.9736
angles: 102.43 102.43 60.03
Element x y z (fractional)
Zr 0.0294 0.1927 0.0828
Zr 0.1374 0.3054 0.4171
Zr 0.1927 0.0294 0.5828
Zr 0.3054 0.1374 0.9171
Zr 0.6946 0.8626 0.0829
Zr 0.8073 0.9706 0.4172
Zr 0.8626 0.6946 0.5829
Zr 0.9706 0.8073 0.9172
Ta 0.3559 0.5238 0.0717
Ta 0.4762 0.6441 0.4283
Ta 0.5238 0.3559 0.5717
Ta 0.6441 0.4762 0.9283
Bi 0.0943 0.9057 0.2500
Bi 0.2605 0.4167 0.7505
Bi 0.4167 0.2605 0.2505
Bi 0.5833 0.7395 0.7495
Bi 0.7395 0.5833 0.2495
Bi 0.9057 0.0943 0.7500
N 0.0000 0.5000 0.0000
N 0.1739 0.6632 0.5000
N 0.3368 0.8261 0.0000
N 0.5000 0.0000 0.5000
N 0.6632 0.1739 0.0000
N 0.8261 0.3368 0.5000

The 10 most intense peaks (2θ = 15–90°), in order of falling intensity:
2θ/deg  I_rel
35.83  100
29.64  24
52.60  24
68.05  19
65.29  17
88.55  16
39.97  16
50.54  13
69.90  13
30.39  6

The following is a calculated powder XRD pattern of BiW3N2. It was derived from a structure optimized by DFT (PBE), using Cu Kα, 1.54184 Å.
Peak positions follow from Bragg's law for the DFT cell and can differ from measured ones.

Structure:
abc: 3.3567 3.3567 17.6006
angles: 90.00 90.00 120.00
Element x y z (fractional)
Bi 0.0000 0.0000 0.2500
Bi 0.0000 0.0000 0.7500
W 0.0000 0.0000 0.0000
W 0.0000 0.0000 0.5000
W 0.3333 0.6667 0.1139
W 0.3333 0.6667 0.3861
W 0.6667 0.3333 0.6139
W 0.6667 0.3333 0.8861
N 0.3333 0.6667 0.5650
N 0.3333 0.6667 0.9350
N 0.6667 0.3333 0.0650
N 0.6667 0.3333 0.4350

The 10 most intense peaks (2θ = 15–90°), in order of falling intensity:
2θ/deg  I_rel
37.07  100
54.69  31
70.58  23
34.43  22
31.18  19
41.02  18
67.92  18
47.83  14
72.13  12
30.76  10

The following is a calculated powder XRD pattern of Y4Bi3W2N3. It was derived from a structure optimized by DFT (PBE), using Cu Kα, 1.54184 Å.
Peak positions follow from Bragg's law for the DFT cell and can differ from measured ones.

Structure:
abc: 6.1303 6.1303 14.5599
angles: 101.34 101.34 60.82
Element x y z (fractional)
Y 0.0252 0.2007 0.0875
Y 0.1448 0.3019 0.4128
Y 0.2007 0.0252 0.5875
Y 0.3019 0.1448 0.9128
Y 0.6981 0.8552 0.0872
Y 0.7993 0.9748 0.4125
Y 0.8552 0.6981 0.5872
Y 0.9748 0.7993 0.9125
Bi 0.1190 0.8810 0.2500
Bi 0.2718 0.4211 0.7474
Bi 0.4211 0.2718 0.2474
Bi 0.5789 0.7282 0.7526
Bi 0.7282 0.5789 0.2526
Bi 0.8810 0.1190 0.7500
W 0.3725 0.5187 0.0639
W 0.4813 0.6275 0.4361
W 0.5187 0.3725 0.5639
W 0.6275 0.4813 0.9361
N 0.0000 0.5000 0.0000
N 0.1678 0.6667 0.5000
N 0.3333 0.8322 0.0000
N 0.5000 0.0000 0.5000
N 0.6667 0.1678 0.0000
N 0.8322 0.3333 0.5000

The 10 most intense peaks (2θ = 15–90°), in order of falling intensity:
2θ/deg  I_rel
34.69  100
34.58  98
35.10  91
38.09  47
29.14  46
51.20  43
48.38  26
28.77  24
16.68  21
51.89  21

The following is a calculated powder XRD pattern of NaNbBi. It was derived from a structure optimized by DFT (PBE), using Cu Kα, 1.54184 Å.
Peak positions follow from Bragg's law for the DFT cell and can differ from measured ones.

Structure:
abc: 4.8909 4.8909 4.8909
angles: 60.00 60.00 60.00
Element x y z (fractional)
Na 0.0000 0.0000 0.0000
Nb 0.5000 0.5000 0.5000
Bi 0.2500 0.2500 0.2500

The 10 most intense peaks (2θ = 15–90°), in order of falling intensity:
2θ/deg  I_rel
22.26  100
36.75  95
43.39  54
66.19  34
58.13  23
82.51  18
70.78  18
52.95  17
89.64  16
78.17  11

The following is a calculated powder XRD pattern of Na2Ni3Bi2. It was derived from a structure optimized by DFT (PBE), using Cu Kα, 1.54184 Å.
Peak positions follow from Bragg's law for the DFT cell and can differ from measured ones.

Structure:
abc: 7.9318 7.9318 7.9318
angles: 33.15 33.15 33.15
Element x y z (fractional)
Na 0.0000 0.0000 0.0000
Na 0.4842 0.4842 0.4842
Ni 0.3593 0.3593 0.3593
Ni 0.6136 0.6136 0.6136
Ni 0.8793 0.8793 0.8793
Bi 0.2407 0.2407 0.2407
Bi 0.7375 0.7375 0.7375

The 10 most intense peaks (2θ = 15–90°), in order of falling intensity:
2θ/deg  I_rel
24.05  100
39.84  92
39.47  88
46.92  43
23.76  41
27.76  39
72.09  29
57.34  29
47.08  18
46.59  16

The following is a calculated powder XRD pattern of NaReBiSeO8. It was derived from a structure optimized by DFT (PBE), using Cu Kα, 1.54184 Å.
Peak positions follow from Bragg's law for the DFT cell and can differ from measured ones.

Structure:
abc: 6.7809 6.7809 6.7809
angles: 135.05 135.05 65.45
Element x y z (fractional)
Na 0.0000 0.0000 0.0000
Re 0.5000 0.5000 0.0000
Bi 0.2500 0.7500 0.5000
Se 0.7500 0.2500 0.5000
O 0.2751 0.1559 0.5907
O 0.3155 0.7249 0.8808
O 0.4451 0.3191 0.4279
O 0.5652 0.6845 0.4093
O 0.6809 0.1088 0.1260
O 0.8441 0.4348 0.1192
O 0.8912 0.0172 0.5721
O 0.9828 0.5549 0.8740

The 10 most intense peaks (2θ = 15–90°), in order of falling intensity:
2θ/deg  I_rel
28.95  100
18.80  46
58.59  30
47.39  30
34.60  22
54.35  17
29.12  16
39.67  16
31.36  16
76.76  13

The following is a calculated powder XRD pattern of Na4BiPd2Pb. It was derived from a structure optimized by DFT (PBE), using Cu Kα, 1.54184 Å.
Peak positions follow from Bragg's law for the DFT cell and can differ from measured ones.

Structure:
abc: 4.9386 4.9386 6.9767
angles: 90.00 90.00 90.00
Element x y z (fractional)
Na 0.0000 0.0000 0.0000
Na 0.0000 0.5000 0.2487
Na 0.5000 0.0000 0.7513
Na 0.5000 0.5000 0.5000
Bi 0.0000 0.0000 0.5000
Pd 0.0000 0.5000 0.7506
Pd 0.5000 0.0000 0.2494
Pb 0.5000 0.5000 0.0000

The 10 most intense peaks (2θ = 15–90°), in order of falling intensity:
2θ/deg  I_rel
36.40  100
22.05  70
42.97  39
65.50  36
52.42  18
57.54  17
81.57  13
70.03  13
77.31  11
88.56  11

Question: Number 3 is which compound?
Answer: Ta4Bi3W2N3